Diffraction record for Rb4ZnSi2O7. The X-ray diffraction stick pattern is simulated, not measured: it uses DFT lattice parameters and positions (PBE) and Cu Kα.
Peak positions follow from Bragg's law for the DFT cell and can differ from measured ones.

Atomic structure:
a = 6.3018 Å, b = 6.9850 Å, c = 7.1048 Å
α = 113.51°, β = 101.17°, γ = 106.61°
Space group P-1 (No. 2)
Inequivalent atoms, fractional coordinates:
Rb: 0.0753 0.0465 0.2823 x2
Rb: 0.3175 0.5807 0.2255 x2
Zn: 0.5000 0.0000 0.0000 x1
Si: 0.2173 0.5748 0.7248 x2
O: 0.0000 0.5000 0.5000 x1
O: 0.1800 0.7642 0.9357 x2
O: 0.2107 0.3495 0.7402 x2
O: 0.4709 0.7321 0.7237 x2

Most intense lines, 2θ from 10° to 90°, low angle first:
- 24.93°, intensity 48, hkl 1 0 1
- 27.06°, intensity 44, hkl 1 -2 1
- 27.86°, intensity 100, hkl 1 1 -2
- 28.08°, intensity 39, hkl 1 -2 0
- 28.99°, intensity 95, hkl 2 -1 0
- 29.27°, intensity 64, hkl 0 0 2
- 30.49°, intensity 48, hkl 0 2 0
- 33.40°, intensity 79, hkl 1 -2 2
- 35.56°, intensity 40, hkl -1 1 2
- 36.16°, intensity 72, hkl 2 1 -1